# 1
Calculated powder diffractogram
Compound: Al2Si2H4O9
Radiation: Cu Kα, 1.54184 Å
Structure: a cell relaxed with PBE
Kinematic intensities with the Lorentz-polarization factor, no thermal factor.

Unit cell a=5.2480 b=9.0192 c=7.1375 alpha=90.00 beta=91.84 gamma=90.00
Space group Cm (No. 8)
Inequivalent atoms, fractional coordinates:
Al  0.0000  0.1645  0.0000 x4
Si  0.3160  0.1707  0.3887 x4
H  0.1591  0.3227  0.7391 x4
H  0.2067  0.5000  0.1635 x2
H  0.2196  0.0000  0.7574 x2
O  0.0755  0.2554  0.4838 x4
O  0.1057  0.0000  0.8624 x2
O  0.1848  0.3080  0.8739 x4
O  0.3096  0.1888  0.1628 x4
O  0.3175  0.0000  0.4663 x2
O  0.3911  0.5000  0.1531 x2

Principal peaks in the range 2θ = 10–90°, by intensity:
| 2θ (°) | d [Å] | intensity |
| --- | --- | --- |
| 22.9 | 3.876 | 1000 |
| 12.4 | 7.134 | 970 |
| 19.7 | 4.510 | 961 |
| 36.5 | 2.462 | 801 |
| 25.0 | 3.567 | 793 |
| 36.9 | 2.437 | 644 |
| 19.6 | 4.534 | 537 |
| 23.5 | 3.780 | 495 |


# 2
Calculated powder diffractogram
Compound: Pm2HgGe
Radiation: Cu Kα, 1.54184 Å
Structure: a cell relaxed with PBE
Kinematic intensities with the Lorentz-polarization factor, no thermal factor.

Unit cell a=7.4661 b=7.4661 c=7.4661 alpha=90.00 beta=90.00 gamma=90.00
Space group Fm-3m (No. 225)
Inequivalent atoms, fractional coordinates:
Pm  0.2500  0.2500  0.2500 x8
Hg  0.0000  0.0000  0.0000 x4
Ge  0.0000  0.0000  0.5000 x4

Principal peaks in the range 2θ = 10–90°, by intensity:
| 2θ (°) | d [Å] | intensity |
| --- | --- | --- |
| 34.0 | 2.640 | 1000 |
| 60.8 | 1.524 | 376 |
| 48.8 | 1.867 | 181 |
| 81.5 | 1.181 | 165 |
| 71.5 | 1.320 | 116 |
| 20.6 | 4.311 | 106 |
| 40.1 | 2.251 | 62 |
| 53.5 | 1.713 | 28 |


# 3
Calculated powder diffractogram
Compound: Er3Mg
Radiation: Cu Kα, 1.54184 Å
Structure: a cell relaxed with PBE
Kinematic intensities with the Lorentz-polarization factor, no thermal factor.

Unit cell a=3.5189 b=3.5189 c=9.3366 alpha=90.00 beta=90.00 gamma=90.00
Space group P4/mmm (No. 123)
Inequivalent atoms, fractional coordinates:
Er  0.0000  0.0000  0.0000 x1
Er  0.5000  0.5000  0.2580 x2
Mg  0.0000  0.0000  0.5000 x1

Principal peaks in the range 2θ = 10–90°, by intensity:
| 2θ (°) | d [Å] | intensity |
| --- | --- | --- |
| 31.8 | 2.810 | 1000 |
| 36.1 | 2.488 | 360 |
| 62.3 | 1.491 | 295 |
| 53.9 | 1.702 | 224 |
| 38.6 | 2.334 | 164 |
| 27.1 | 3.293 | 136 |
| 52.0 | 1.759 | 128 |
| 66.6 | 1.405 | 126 |


# 4
Calculated powder diffractogram
Compound: KNb2InO6
Radiation: Cu Kα, 1.54184 Å
Structure: a cell relaxed with PBE
Kinematic intensities with the Lorentz-polarization factor, no thermal factor.

Unit cell a=8.1533 b=8.1533 c=8.1533 alpha=90.00 beta=90.00 gamma=90.00
Space group Fm-3m (No. 225)
Inequivalent atoms, fractional coordinates:
K  0.0000  0.0000  0.0000 x4
Nb  0.2500  0.2500  0.2500 x8
In  0.0000  0.0000  0.5000 x4
O  0.0000  0.2500  0.2500 x24

Principal peaks in the range 2θ = 10–90°, by intensity:
| 2θ (°) | d [Å] | intensity |
| --- | --- | --- |
| 31.0 | 2.883 | 1000 |
| 55.2 | 1.664 | 383 |
| 44.4 | 2.038 | 355 |
| 64.7 | 1.441 | 207 |
| 73.5 | 1.289 | 162 |
| 18.9 | 4.707 | 126 |
| 36.6 | 2.458 | 76 |
| 81.9 | 1.177 | 67 |


# 5
Calculated powder diffractogram
Compound: LiAlH8N4
Radiation: Cu Kα, 1.54184 Å
Structure: a cell relaxed with PBE
Kinematic intensities with the Lorentz-polarization factor, no thermal factor.

Unit cell a=8.2652 b=7.8363 c=12.6830 alpha=90.00 beta=126.95 gamma=90.00
Space group P2_1/c (No. 14)
Inequivalent atoms, fractional coordinates:
Li  0.1330  0.0932  0.3783 x4
Al  0.1625  0.2294  0.1354 x4
H  0.1838  0.1042  0.9680 x4
H  0.1975  0.5553  0.7316 x4
H  0.3139  0.5585  0.4021 x4
H  0.3838  0.2143  0.0704 x4
H  0.3847  0.6286  0.4449 x4
H  0.3905  0.6430  0.2084 x4
H  0.3931  0.0621  0.3335 x4
H  0.4057  0.7341  0.1962 x4
N  0.0621  0.6347  0.9142 x4
N  0.1013  0.0534  0.6683 x4
N  0.2295  0.2171  0.0192 x4
N  0.2390  0.0673  0.2650 x4

Principal peaks in the range 2θ = 10–90°, by intensity:
| 2θ (°) | d [Å] | intensity |
| --- | --- | --- |
| 17.6 | 5.051 | 1000 |
| 13.4 | 6.605 | 805 |
| 20.9 | 4.256 | 552 |
| 28.8 | 3.103 | 329 |
| 14.3 | 6.206 | 308 |
| 26.9 | 3.310 | 251 |
| 23.0 | 3.866 | 200 |
| 18.2 | 4.866 | 197 |